(1)
Structure and theoretical powder X-ray diffraction pattern of MgCo2O4 (the PBE+U geometry in the Materials Project; a wavelength of 1.5418 Å).

The 8 most intense peaks (10 to 80 degrees two-theta), most intense first:
2theta, Rel. int.
36.28, 1000
30.73, 415
36.40, 377
18.66, 286
64.34, 239
64.07, 236
44.05, 219
58.35, 199

```
MgCo2O4
1.0
5.0384 -2.9011 0.0000
5.0384 2.9011 0.0000
-3.5013 0.0000 18.9414
Mg Co O
8 16 32
direct
0.0000 0.0000 0.0000 Mg
0.1249 0.1249 0.8741 Mg
0.2523 0.2523 0.7500 Mg
0.5013 0.5013 0.5004 Mg
0.7262 0.7262 0.6569 Mg
0.7495 0.7495 0.2506 Mg
0.8750 0.8750 0.1258 Mg
0.9751 0.9751 0.4051 Mg
0.0000 0.5004 0.0002 Co
0.0260 0.0260 0.5952 Co
0.2242 0.2242 0.1575 Co
0.2505 0.7500 0.2508 Co
0.2532 0.7462 0.7497 Co
0.2756 0.2756 0.3444 Co
0.3753 0.3753 0.6263 Co
0.4755 0.4755 0.9090 Co
0.5004 0.0000 0.0002 Co
0.5010 0.9958 0.5000 Co
0.5248 0.5248 0.0920 Co
0.6262 0.6262 0.3773 Co
0.7462 0.2532 0.7497 Co
0.7500 0.2505 0.2508 Co
0.7757 0.7757 0.8419 Co
0.9958 0.5010 0.5000 Co
0.0541 0.0541 0.6947 O
0.0590 0.0590 0.1947 O
0.0690 0.5802 0.1923 O
0.1040 0.5538 0.6887 O
0.1671 0.6852 0.0591 O
0.1893 0.6593 0.5626 O
0.1948 0.1948 0.0567 O
0.1994 0.1994 0.5603 O
0.3058 0.3058 0.4442 O
0.3073 0.3073 0.9441 O
0.3158 0.8338 0.9415 O
0.3509 0.8056 0.4393 O
0.4196 0.9342 0.8079 O
0.4394 0.9092 0.3138 O
0.4456 0.4456 0.8077 O
0.4503 0.4503 0.3110 O
0.5466 0.5466 0.6909 O
0.5538 0.1040 0.6887 O
0.5575 0.5575 0.1941 O
0.5802 0.0690 0.1923 O
0.6593 0.1893 0.5626 O
0.6852 0.1671 0.0591 O
0.6928 0.6928 0.0565 O
0.6938 0.6938 0.5536 O
0.7972 0.7972 0.4412 O
0.8056 0.3509 0.4393 O
0.8056 0.8056 0.9439 O
0.8338 0.3158 0.9415 O
0.9092 0.4394 0.3138 O
0.9342 0.4196 0.8079 O
0.9411 0.9411 0.8056 O
0.9417 0.9417 0.3023 O
```



(2)
Structure and theoretical powder X-ray diffraction pattern of MgCo2O5 (the PBE+U geometry in the Materials Project; a wavelength of 1.5418 Å).

The 8 most intense peaks (10 to 80 degrees two-theta), most intense first:
2theta, Rel. int.
18.14, 1000
33.45, 541
36.73, 535
23.99, 391
28.96, 390
34.39, 340
29.81, 281
49.57, 260

```
MgCo2O5
1.0
3.2025 0.0000 0.0000
0.0000 11.3824 0.0000
0.0000 0.0000 4.8899
Mg Co O
2 4 10
direct
0.2500 0.2500 0.1174 Mg
0.7500 0.7500 0.8826 Mg
0.2500 0.6001 0.4175 Co
0.2500 0.8999 0.4175 Co
0.7500 0.1001 0.5825 Co
0.7500 0.3999 0.5825 Co
0.2500 0.0653 0.3745 O
0.2500 0.4347 0.3745 O
0.2500 0.6440 0.0865 O
0.2500 0.7500 0.5837 O
0.2500 0.8560 0.0865 O
0.7500 0.1440 0.9135 O
0.7500 0.2500 0.4163 O
0.7500 0.3560 0.9135 O
0.7500 0.5653 0.6255 O
0.7500 0.9347 0.6255 O
```



(3)
Structure and theoretical powder X-ray diffraction pattern of MgCo5O8 (the PBE+U geometry in the Materials Project; a wavelength of 1.5418 Å).

The 8 most intense peaks (10 to 80 degrees two-theta), most intense first:
2theta, Rel. int.
18.52, 1000
36.45, 856
36.55, 841
34.59, 737
44.68, 545
62.46, 455
62.66, 435
30.09, 356

```
MgCo5O8
1.0
5.2120 -2.8619 0.0000
5.2120 2.8619 0.0000
-3.1531 0.0000 4.8090
Mg Co O
1 5 8
direct
0.0000 0.0000 0.0000 Mg
0.3685 0.3685 0.6215 Co
0.3697 0.3697 0.1216 Co
0.3716 0.8719 0.6244 Co
0.7407 0.7407 0.2461 Co
0.8719 0.3716 0.6244 Co
0.1225 0.1225 0.4093 O
0.1422 0.5882 0.8643 O
0.1491 0.1491 0.8823 O
0.1503 0.5981 0.3802 O
0.5882 0.1422 0.8643 O
0.5925 0.5925 0.3637 O
0.5981 0.1503 0.3802 O
0.6187 0.6187 0.8377 O
```



(4)
Structure and theoretical powder X-ray diffraction pattern of MgCo2O4 (the PBE+U geometry in the Materials Project; a wavelength of 1.5418 Å).

The 8 most intense peaks (10 to 80 degrees two-theta), most intense first:
2theta, Rel. int.
35.83, 1000
37.96, 984
20.45, 613
53.18, 467
65.77, 258
77.47, 192
66.04, 163
49.75, 135

```
MgCo2O4
1.0
8.6934 0.0000 0.0000
0.0000 2.8296 0.0000
0.0000 0.0000 10.0141
Mg Co O
4 8 16
direct
0.2409 0.2500 0.1618 Mg
0.2591 0.7500 0.6618 Mg
0.7409 0.2500 0.3382 Mg
0.7591 0.7500 0.8382 Mg
0.0509 0.2500 0.3825 Co
0.0929 0.2500 0.9033 Co
0.4071 0.7500 0.4033 Co
0.4491 0.7500 0.8825 Co
0.5509 0.2500 0.1175 Co
0.5929 0.2500 0.5967 Co
0.9071 0.7500 0.0967 Co
0.9491 0.7500 0.6175 Co
0.0552 0.7500 0.7842 O
0.0919 0.2500 0.5705 O
0.1169 0.7500 0.0385 O
0.1937 0.7500 0.3287 O
0.3063 0.2500 0.8287 O
0.3831 0.2500 0.5385 O
0.4081 0.7500 0.0705 O
0.4448 0.2500 0.2842 O
0.5552 0.7500 0.7158 O
0.5919 0.2500 0.9295 O
0.6169 0.7500 0.4615 O
0.6937 0.7500 0.1713 O
0.8063 0.2500 0.6713 O
0.8831 0.2500 0.9615 O
0.9081 0.7500 0.4295 O
0.9448 0.2500 0.2158 O
```



(5)
Structure and theoretical powder X-ray diffraction pattern of MgCo2O4 (the PBE+U geometry in the Materials Project; a wavelength of 1.5418 Å).

The 8 most intense peaks (10 to 80 degrees two-theta), most intense first:
2theta, Rel. int.
18.23, 1000
42.63, 691
45.02, 285
37.53, 261
35.47, 250
64.09, 169
63.37, 164
62.35, 98

```
MgCo2O4
1.0
4.9845 -1.4893 0.0000
4.9845 1.4893 0.0000
-1.0829 0.0000 4.8814
Mg Co O
1 2 4
direct
0.0000 0.0000 0.0000 Mg
0.2447 0.2447 0.7416 Co
0.7553 0.7553 0.2584 Co
0.1493 0.1493 0.3667 O
0.3659 0.3659 0.0957 O
0.6341 0.6341 0.9043 O
0.8507 0.8507 0.6333 O
```



(6)
Structure and theoretical powder X-ray diffraction pattern of MgCo2O4 (the PBE+U geometry in the Materials Project; a wavelength of 1.5418 Å).

The 8 most intense peaks (10 to 80 degrees two-theta), most intense first:
2theta, Rel. int.
17.39, 1000
34.97, 761
33.41, 543
26.21, 516
34.80, 407
58.58, 272
33.27, 259
58.67, 213

```
MgCo2O4
1.0
3.1477 0.0000 0.0000
1.5692 2.7303 0.0000
0.0440 1.7134 10.2008
Mg Co O
1 2 4
direct
0.0000 0.0000 0.0000 Mg
0.2195 0.6004 0.7200 Co
0.7114 0.5873 0.2805 Co
0.3029 0.3984 0.8943 O
0.4024 0.2009 0.3416 O
0.6996 0.5976 0.1064 O
0.8729 0.2911 0.6591 O
```



(7)
Structure and theoretical powder X-ray diffraction pattern of Mg7Co17O32 (the PBE+U geometry in the Materials Project; a wavelength of 1.5418 Å).

The 8 most intense peaks (10 to 80 degrees two-theta), most intense first:
2theta, Rel. int.
36.35, 1000
36.50, 787
64.40, 664
30.90, 626
36.24, 531
58.33, 367
30.70, 352
18.73, 289

```
Mg7Co17O32
1.0
5.0140 -2.8970 0.0000
5.0140 2.8970 0.0000
-3.5385 0.0000 18.9380
Mg Co O
7 17 32
direct
0.0000 0.0000 0.0000 Mg
0.1252 0.1252 0.8749 Mg
0.2502 0.2502 0.7490 Mg
0.3764 0.3764 0.6240 Mg
0.6236 0.6236 0.3760 Mg
0.7498 0.7498 0.2510 Mg
0.8748 0.8748 0.1251 Mg
0.0991 0.0991 0.2834 Co
0.1251 0.6248 0.8748 Co
0.1265 0.6226 0.3760 Co
0.1510 0.1510 0.4692 Co
0.3507 0.3507 0.0336 Co
0.3752 0.8749 0.1252 Co
0.3774 0.8735 0.6240 Co
0.3994 0.3994 0.2168 Co
0.5000 0.5000 0.5000 Co
0.6006 0.6006 0.7832 Co
0.6226 0.1265 0.3760 Co
0.6248 0.1251 0.8748 Co
0.6493 0.6493 0.9664 Co
0.8490 0.8490 0.5308 Co
0.8735 0.3774 0.6240 Co
0.8749 0.3752 0.1252 Co
0.9009 0.9009 0.7166 Co
0.0417 0.5599 0.1841 O
0.0586 0.5446 0.6823 O
0.0663 0.0663 0.6796 O
0.0702 0.0702 0.1819 O
0.1802 0.1802 0.5704 O
0.1828 0.1828 0.0693 O
0.1904 0.7079 0.0665 O
0.2236 0.6813 0.5621 O
0.2921 0.8096 0.9335 O
0.3187 0.7764 0.4379 O
0.3202 0.3202 0.9316 O
0.3268 0.3268 0.4347 O
0.4298 0.4298 0.3189 O
0.4325 0.4325 0.8189 O
0.4401 0.9583 0.8159 O
0.4554 0.9414 0.3177 O
0.5446 0.0586 0.6823 O
0.5599 0.0417 0.1841 O
0.5675 0.5675 0.1811 O
0.5702 0.5702 0.6811 O
0.6732 0.6732 0.5653 O
0.6798 0.6798 0.0684 O
0.6813 0.2236 0.5621 O
0.7079 0.1904 0.0665 O
0.7764 0.3187 0.4379 O
0.8096 0.2921 0.9335 O
0.8172 0.8172 0.9307 O
0.8198 0.8198 0.4296 O
0.9298 0.9298 0.8181 O
0.9337 0.9337 0.3204 O
0.9414 0.4554 0.3177 O
0.9583 0.4401 0.8159 O
```



(8)
Structure and theoretical powder X-ray diffraction pattern of Mg3Co2O7 (the PBE+U geometry in the Materials Project; a wavelength of 1.5418 Å).

The 8 most intense peaks (10 to 80 degrees two-theta), most intense first:
2theta, Rel. int.
24.92, 1000
35.51, 864
35.67, 854
20.36, 613
33.66, 593
49.97, 525
35.82, 407
64.17, 323

```
Mg3Co2O7
1.0
8.7238 -2.5070 0.0000
8.7238 2.5070 0.0000
-0.0330 0.0000 5.3246
Mg Co O
6 4 14
direct
0.0425 0.5643 0.3392 Mg
0.2302 0.7698 0.5000 Mg
0.4325 0.9436 0.3426 Mg
0.5643 0.0425 0.8392 Mg
0.7698 0.2302 0.0000 Mg
0.9436 0.4325 0.8426 Mg
0.1486 0.6404 0.9212 Co
0.3513 0.8477 0.9220 Co
0.6404 0.1486 0.4212 Co
0.8477 0.3513 0.4220 Co
0.0127 0.1297 0.7285 O
0.0667 0.3323 0.4668 O
0.1297 0.0127 0.2285 O
0.3223 0.4089 0.6023 O
0.3323 0.0667 0.9668 O
0.3853 0.6134 0.8673 O
0.4089 0.3223 0.1023 O
0.5773 0.6858 0.6261 O
0.6134 0.3853 0.3673 O
0.6582 0.9244 0.4698 O
0.6858 0.5773 0.1261 O
0.8685 0.9692 0.7689 O
0.9244 0.6582 0.9698 O
0.9692 0.8685 0.2689 O
```



(9)
Structure and theoretical powder X-ray diffraction pattern of MgCo2O4 (the PBE+U geometry in the Materials Project; a wavelength of 1.5418 Å).

The 8 most intense peaks (10 to 80 degrees two-theta), most intense first:
2theta, Rel. int.
35.32, 1000
18.23, 489
62.30, 385
42.91, 289
56.73, 269
29.99, 222
62.41, 194
56.83, 162

```
MgCo2O4
1.0
5.9501 0.0000 0.0000
2.9657 5.1624 0.0000
0.0015 0.0183 14.6062
Mg Co O
6 12 24
direct
0.0000 0.0000 0.0000 Mg
0.0001 0.0003 0.2484 Mg
0.9998 0.0004 0.6235 Mg
0.3330 0.3336 0.3320 Mg
0.3336 0.3324 0.9576 Mg
0.6663 0.6667 0.6686 Mg
0.0030 0.4993 0.1224 Co
0.1649 0.1653 0.7896 Co
0.1648 0.6701 0.7896 Co
0.3324 0.8337 0.4574 Co
0.3334 0.3335 0.5806 Co
0.4978 0.0036 0.1222 Co
0.4988 0.4981 0.1221 Co
0.6663 0.6678 0.2896 Co
0.6667 0.6669 0.9107 Co
0.6697 0.1652 0.7896 Co
0.8334 0.3327 0.4574 Co
0.8338 0.8340 0.4576 Co
0.9999 0.0004 0.3824 O
0.9999 0.9998 0.8650 O
0.0233 0.4884 0.8661 O
0.1580 0.1582 0.5295 O
0.1576 0.6842 0.5298 O
0.1745 0.6463 0.0515 O
0.1790 0.1741 0.0512 O
0.3074 0.8465 0.7149 O
0.3332 0.3328 0.1981 O
0.3331 0.3338 0.7149 O
0.3747 0.8116 0.2084 O
0.4885 0.0235 0.8661 O
0.4881 0.4885 0.8661 O
0.5203 0.5204 0.3715 O
0.5202 0.9591 0.3708 O
0.6473 0.1783 0.0515 O
0.6664 0.6666 0.5315 O
0.6666 0.6682 0.0474 O
0.6839 0.1577 0.5296 O
0.8105 0.8157 0.2083 O
0.8149 0.3757 0.2081 O
0.8460 0.3078 0.7149 O
0.8459 0.8464 0.7150 O
0.9586 0.5212 0.3708 O
```